The following is a theoretical powder diffraction line list of Te2W. It was derived from a structure optimized by DFT (PBE), using Cu Kα, 1.54184 Å.
Neutral-atom scattering factors, no anomalous dispersion.

Peak list (8 most intense, 10 to 90 degrees two-theta, most intense first)
- 2θ = 10.9°, I 1000
- 2θ = 34.9°, I 629
- 2θ = 42.3°, I 511
- 2θ = 33.4°, I 503
- 2θ = 51.4°, I 376
- 2θ = 29.0°, I 341
- 2θ = 40.3°, I 271
- 2θ = 72.5°, I 163

Crystal structure
```
Te2W
1.0
3.557 0.000 0.000
-1.778 3.080 0.000
0.000 0.000 32.588
Te W
6 3
direct
0.000 0.000 0.056
0.000 0.000 0.944
0.333 0.667 0.176
0.333 0.667 0.287
0.333 0.667 0.713
0.333 0.667 0.824
0.000 0.000 0.231
0.000 0.000 0.769
0.333 0.667 0.000
```



The following is a theoretical powder diffraction line list of Te2W. It was derived from a structure optimized by DFT (PBE), using Cu Kα, 1.54184 Å.
Neutral-atom scattering factors, no anomalous dispersion.

Peak list (8 most intense, 10 to 90 degrees two-theta, most intense first)
- 2θ = 10.1°, I 1000
- 2θ = 35.7°, I 598
- 2θ = 38.9°, I 553
- 2θ = 32.9°, I 370
- 2θ = 29.5°, I 305
- 2θ = 42.7°, I 300
- 2θ = 51.7°, I 254
- 2θ = 29.0°, I 219

Crystal structure
```
Te2W
1.0
3.554 0.000 0.000
-1.777 3.078 0.000
0.000 0.000 17.516
Te W
2 1
direct
0.000 0.000 0.104
0.000 0.000 0.896
0.667 0.333 0.000
```



The following is a theoretical powder diffraction line list of YTe2. It was derived from a structure optimized by DFT (PBE), using Cu Kα, 1.54184 Å.
Neutral-atom scattering factors, no anomalous dispersion.

Peak list (8 most intense, 10 to 90 degrees two-theta, most intense first)
- 2θ = 30.1°, I 1000
- 2θ = 34.9°, I 497
- 2θ = 40.5°, I 400
- 2θ = 67.3°, I 272
- 2θ = 28.3°, I 254
- 2θ = 36.3°, I 245
- 2θ = 51.3°, I 239
- 2θ = 55.5°, I 219

Crystal structure
```
YTe2
1.0
4.452 0.000 0.000
0.000 4.452 0.000
0.000 0.000 8.916
Y Te
2 4
direct
0.250 0.250 0.229
0.750 0.750 0.771
0.250 0.250 0.870
0.250 0.750 0.500
0.750 0.250 0.500
0.750 0.750 0.130
```



The following is a theoretical powder diffraction line list of YTe. It was derived from a structure optimized by DFT (PBE), using Cu Kα, 1.54184 Å.
Neutral-atom scattering factors, no anomalous dispersion.

Peak list (8 most intense, 10 to 90 degrees two-theta, most intense first)
- 2θ = 28.9°, I 1000
- 2θ = 41.3°, I 747
- 2θ = 67.8°, I 335
- 2θ = 51.2°, I 265
- 2θ = 75.4°, I 246
- 2θ = 59.9°, I 123
- 2θ = 89.8°, I 81
- 2θ = 25.0°, I 44

Crystal structure
```
YTe
1.0
0.000 3.089 3.089
3.089 0.000 3.089
3.089 3.089 0.000
Y Te
1 1
direct
0.000 0.000 0.000
0.500 0.500 0.500
```



The following is a theoretical powder diffraction line list of Y8Te3. It was derived from a structure optimized by DFT (PBE), using Cu Kα, 1.54184 Å.
Neutral-atom scattering factors, no anomalous dispersion.

Peak list (8 most intense, 10 to 90 degrees two-theta, most intense first)
- 2θ = 32.8°, I 1000
- 2θ = 32.3°, I 940
- 2θ = 44.5°, I 859
- 2θ = 31.7°, I 813
- 2θ = 31.1°, I 669
- 2θ = 32.5°, I 664
- 2θ = 31.2°, I 658
- 2θ = 29.6°, I 621

Crystal structure
```
Y8Te3
1.0
15.678 -2.038 0.000
15.678 2.038 0.000
-13.320 0.000 20.662
Y Te
32 12
direct
0.009 0.009 0.410
0.011 0.011 0.932
0.060 0.060 0.782
0.151 0.151 0.699
0.166 0.166 0.345
0.201 0.201 0.971
0.235 0.235 0.539
0.280 0.280 0.895
0.292 0.292 0.367
0.303 0.303 0.749
0.329 0.329 0.159
0.374 0.374 0.568
0.408 0.408 0.089
0.420 0.420 0.927
0.435 0.435 0.444
0.454 0.454 0.780
0.546 0.546 0.220
0.565 0.565 0.556
0.580 0.580 0.073
0.592 0.592 0.911
0.626 0.626 0.432
0.671 0.671 0.841
0.697 0.697 0.251
0.708 0.708 0.633
0.720 0.720 0.105
0.765 0.765 0.461
0.799 0.799 0.029
0.834 0.834 0.655
0.849 0.849 0.301
0.940 0.940 0.218
0.989 0.989 0.068
0.991 0.991 0.590
0.055 0.055 0.323
0.106 0.106 0.186
0.128 0.128 0.531
0.130 0.130 0.028
0.259 0.259 0.220
0.428 0.428 0.308
0.572 0.572 0.692
0.741 0.741 0.780
0.870 0.870 0.972
0.872 0.872 0.469
0.894 0.894 0.814
0.945 0.945 0.677
```



The following is a theoretical powder diffraction line list of YTe3. It was derived from a structure optimized by DFT (PBE), using Cu Kα, 1.54184 Å.
Neutral-atom scattering factors, no anomalous dispersion.

Peak list (8 most intense, 10 to 90 degrees two-theta, most intense first)
- 2θ = 30.9°, I 1000
- 2θ = 41.6°, I 447
- 2θ = 33.9°, I 360
- 2θ = 27.4°, I 339
- 2θ = 50.5°, I 246
- 2θ = 48.5°, I 198
- 2θ = 69.2°, I 191
- 2θ = 60.2°, I 172

Crystal structure
```
YTe3
1.0
2.173 -13.019 0.000
2.173 13.019 0.000
0.000 0.000 4.347
Y Te
2 6
direct
0.170 0.830 0.750
0.830 0.170 0.250
0.074 0.926 0.250
0.293 0.707 0.750
0.425 0.575 0.250
0.575 0.425 0.750
0.707 0.293 0.250
0.926 0.074 0.750
```



The following is a theoretical powder diffraction line list of YTe. It was derived from a structure optimized by DFT (PBE), using Cu Kα, 1.54184 Å.
Neutral-atom scattering factors, no anomalous dispersion.

Peak list (8 most intense, 10 to 90 degrees two-theta, most intense first)
- 2θ = 33.5°, I 1000
- 2θ = 25.0°, I 380
- 2θ = 44.0°, I 305
- 2θ = 56.4°, I 219
- 2θ = 64.5°, I 191
- 2θ = 74.2°, I 190
- 2θ = 51.8°, I 101
- 2θ = 44.6°, I 98

Crystal structure
```
YTe
1.0
4.114 0.000 0.000
-2.057 3.562 0.000
0.000 0.000 4.061
Y Te
1 1
direct
0.000 0.000 0.000
0.333 0.667 0.500
```



The following is a theoretical powder diffraction line list of ZnTe2. It was derived from a structure optimized by DFT (PBE), using Cu Kα, 1.54184 Å.
Neutral-atom scattering factors, no anomalous dispersion.

Peak list (8 most intense, 10 to 90 degrees two-theta, most intense first)
- 2θ = 30.0°, I 1000
- 2θ = 43.2°, I 349
- 2θ = 42.8°, I 295
- 2θ = 53.5°, I 194
- 2θ = 71.2°, I 162
- 2θ = 62.5°, I 93
- 2θ = 79.0°, I 93
- 2θ = 59.1°, I 80

Crystal structure
```
ZnTe2
1.0
4.186 0.000 0.000
-2.093 3.625 0.000
0.000 0.000 5.199
Zn Te
1 2
direct
0.000 0.000 0.000
0.333 0.667 0.284
0.667 0.333 0.716
```